CsFe2GeI8: theoretical powder XRD pattern (λ = 1.5418 Å (Cu Kα)), based on a cell relaxed with PBE.

Most intense lines, 15 to 90 degrees two-theta, in order of rising 2θ:
| two_theta | d [Å] | I (rel.) |
| --- | --- | --- |
| 23.61 | 3.768 | 42 |
| 24.64 | 3.613 | 34 |
| 26.06 | 3.419 | 56 |
| 26.60 | 3.351 | 100 |
| 26.96 | 3.307 | 97 |
| 41.95 | 2.153 | 38 |
| 42.45 | 2.129 | 55 |
| 47.34 | 1.920 | 32 |

Cell and atoms:
abc: 12.181 8.310 11.064
angles: 90.00 98.84 90.00
Space group C2/m (No. 12)
One atom of each set of equivalent atoms:
Cs: 0.000 0.000 0.000 x2
Fe: 0.109 0.500 0.293 x4
Ge: 0.000 0.000 0.500 x2
I: 0.023 0.253 0.701 x8
I: 0.183 0.500 0.089 x4
I: 0.248 0.000 0.509 x4



Nd3Ge4Pd7: theoretical powder XRD pattern (λ = 1.5418 Å (Cu Kα)), based on a cell relaxed with PBE.

Most intense lines, 15 to 90 degrees two-theta, in order of rising 2θ:
| two_theta | d [Å] | I (rel.) |
| --- | --- | --- |
| 34.75 | 2.581 | 100 |
| 35.04 | 2.561 | 59 |
| 35.43 | 2.534 | 82 |
| 36.94 | 2.434 | 25 |
| 38.08 | 2.363 | 25 |
| 41.64 | 2.169 | 37 |
| 43.43 | 2.084 | 70 |
| 61.73 | 1.503 | 23 |

Cell and atoms:
abc: 16.022 4.168 9.739
angles: 90.00 125.68 90.00
Space group C2/m (No. 12)
One atom of each set of equivalent atoms:
Nd: 0.000 0.000 0.000 x2
Nd: 0.176 0.500 0.673 x4
Ge: 0.109 0.000 0.826 x4
Ge: 0.163 0.500 0.268 x4
Pd: 0.000 0.000 0.500 x2
Pd: 0.009 0.500 0.283 x4
Pd: 0.169 0.000 0.425 x4
Pd: 0.193 0.500 0.032 x4